The following is a theoretical powder X-ray diffraction pattern of PmOsO5. It was derived from a structure optimized by DFT (PBE), using a wavelength of 1.5418 Å.
Lines closer than 0.1° are merged.

Most intense lines, 15° ≤ 2θ ≤ 90°, sorted by position:
| 2θ/deg | d [Å] | I/Imax |
| --- | --- | --- |
| 21.2 | 4.187 | 69.0 |
| 27.1 | 3.287 | 100.0 |
| 34.7 | 2.585 | 69.0 |
| 43.2 | 2.093 | 13.7 |
| 51.8 | 1.766 | 31.8 |
| 53.0 | 1.727 | 14.1 |

Atomic structure:
```
PmOsO5
1.0
4.596 -3.280 0.000
4.596 3.280 0.000
-3.137 0.000 6.928
Pm Os O
2 2 10
Direct
0.047 0.953 0.750 Pm
0.953 0.047 0.250 Pm
0.500 0.500 0.000 Os
0.500 0.500 0.500 Os
0.198 0.778 0.033 O
0.222 0.802 0.467 O
0.269 0.301 0.390 O
0.301 0.269 0.890 O
0.418 0.582 0.750 O
0.582 0.418 0.250 O
0.699 0.731 0.110 O
0.731 0.699 0.610 O
0.778 0.198 0.533 O
0.802 0.222 0.967 O
```

The following is a theoretical powder X-ray diffraction pattern of AlZnGaAg4. It was derived from a structure optimized by DFT (PBE), using a wavelength of 1.5418 Å.
Lines closer than 0.1° are merged.

Most intense lines, 15° ≤ 2θ ≤ 90°, sorted by position:
| 2θ/deg | d [Å] | I/Imax |
| --- | --- | --- |
| 32.0 | 2.800 | 62.8 |
| 34.9 | 2.570 | 34.4 |
| 39.7 | 2.272 | 51.8 |
| 40.7 | 2.216 | 100.0 |
| 40.9 | 2.208 | 26.1 |
| 45.2 | 2.007 | 23.9 |

Atomic structure:
```
AlZnGaAg4
1.0
3.556 -4.076 0.000
3.556 4.076 0.000
0.000 0.000 9.088
Al Zn Ga Ag
2 2 2 8
Direct
0.026 0.974 0.750 Al
0.974 0.026 0.250 Al
0.500 0.500 0.000 Zn
0.500 0.500 0.500 Zn
0.363 0.637 0.250 Ga
0.637 0.363 0.750 Ga
0.138 0.475 0.750 Ag
0.172 0.828 0.010 Ag
0.172 0.828 0.490 Ag
0.475 0.138 0.250 Ag
0.525 0.862 0.750 Ag
0.828 0.172 0.510 Ag
0.828 0.172 0.990 Ag
0.862 0.525 0.250 Ag
```

The following is a theoretical powder X-ray diffraction pattern of KYBeO3. It was derived from a structure optimized by DFT (PBE), using a wavelength of 1.5418 Å.
Lines closer than 0.1° are merged.

Most intense lines, 15° ≤ 2θ ≤ 90°, sorted by position:
| 2θ/deg | d [Å] | I/Imax |
| --- | --- | --- |
| 24.7 | 3.602 | 42.8 |
| 29.2 | 3.056 | 79.7 |
| 29.5 | 3.029 | 53.1 |
| 36.0 | 2.497 | 100.0 |
| 36.2 | 2.481 | 73.2 |
| 37.4 | 2.402 | 52.2 |

Atomic structure:
```
KYBeO3
1.0
7.507 0.000 0.000
0.000 3.373 0.000
-2.145 0.000 7.324
K Y Be O
2 2 2 6
Direct
0.217 0.250 0.188 K
0.783 0.750 0.812 K
0.166 0.250 0.658 Y
0.834 0.750 0.342 Y
0.397 0.750 0.936 Be
0.603 0.250 0.064 Be
0.147 0.750 0.455 O
0.180 0.750 0.866 O
0.469 0.250 0.863 O
0.531 0.750 0.137 O
0.820 0.250 0.134 O
0.853 0.250 0.545 O
```

The following is a theoretical powder X-ray diffraction pattern of Sc8TcBi2. It was derived from a structure optimized by DFT (PBE), using a wavelength of 1.5418 Å.
Lines closer than 0.1° are merged.

Most intense lines, 15° ≤ 2θ ≤ 90°, sorted by position:
| 2θ/deg | d [Å] | I/Imax |
| --- | --- | --- |
| 21.8 | 4.080 | 49.1 |
| 22.4 | 3.977 | 48.7 |
| 25.0 | 3.557 | 27.9 |
| 35.0 | 2.565 | 67.9 |
| 36.8 | 2.443 | 100.0 |
| 41.9 | 2.157 | 19.9 |

Atomic structure:
```
Sc8TcBi2
1.0
-2.567 3.362 7.398
2.567 -3.362 7.398
2.567 3.362 -7.398
Sc Tc Bi
8 1 2
Direct
0.142 0.377 0.765 Sc
0.179 0.179 0.000 Sc
0.241 0.000 0.241 Sc
0.388 0.623 0.765 Sc
0.612 0.377 0.235 Sc
0.759 0.000 0.759 Sc
0.821 0.821 0.000 Sc
0.858 0.623 0.235 Sc
0.000 0.500 0.500 Tc
0.312 0.812 0.500 Bi
0.688 0.188 0.500 Bi
```

The following is a theoretical powder X-ray diffraction pattern of Sr2AcGaSe5. It was derived from a structure optimized by DFT (PBE), using a wavelength of 1.5418 Å.
Lines closer than 0.1° are merged.

Most intense lines, 15° ≤ 2θ ≤ 90°, sorted by position:
| 2θ/deg | d [Å] | I/Imax |
| --- | --- | --- |
| 22.6 | 3.939 | 20.0 |
| 27.6 | 3.230 | 61.1 |
| 30.2 | 2.963 | 100.0 |
| 33.9 | 2.647 | 62.7 |
| 42.7 | 2.118 | 31.8 |
| 51.6 | 1.771 | 21.5 |

Atomic structure:
```
Sr2AcGaSe5
1.0
2.118 -10.016 0.000
2.118 10.016 0.000
0.000 0.000 12.718
Sr Ac Ga Se
4 2 2 10
Direct
0.106 0.894 0.500 Sr
0.114 0.886 0.147 Sr
0.886 0.114 0.647 Sr
0.894 0.106 0.000 Sr
0.209 0.791 0.845 Ac
0.791 0.209 0.345 Ac
0.443 0.557 0.249 Ga
0.557 0.443 0.749 Ga
0.044 0.956 0.858 Se
0.299 0.701 0.514 Se
0.328 0.672 0.173 Se
0.360 0.640 0.829 Se
0.497 0.503 0.587 Se
0.503 0.497 0.087 Se
0.640 0.360 0.329 Se
0.672 0.328 0.673 Se
0.701 0.299 0.014 Se
0.956 0.044 0.358 Se
```

The following is a theoretical powder X-ray diffraction pattern of Rb2GaPdCl6. It was derived from a structure optimized by DFT (PBE), using a wavelength of 1.5418 Å.
Lines closer than 0.1° are merged.

Most intense lines, 15° ≤ 2θ ≤ 90°, sorted by position:
| 2θ/deg | d [Å] | I/Imax |
| --- | --- | --- |
| 24.0 | 3.708 | 60.8 |
| 25.9 | 3.435 | 100.0 |
| 34.2 | 2.622 | 97.3 |
| 39.6 | 2.273 | 34.2 |
| 43.4 | 2.084 | 51.7 |
| 53.3 | 1.718 | 50.9 |

Atomic structure:
```
Rb2GaPdCl6
1.0
-3.708 3.708 4.547
3.708 -3.708 4.547
3.708 3.708 -4.547
Rb Ga Pd Cl
2 1 1 6
Direct
0.250 0.750 0.500 Rb
0.750 0.250 0.500 Rb
0.000 0.000 0.000 Ga
0.500 0.500 0.000 Pd
0.237 0.237 0.474 Cl
0.237 0.763 0.000 Cl
0.249 0.249 0.000 Cl
0.751 0.751 0.000 Cl
0.763 0.237 0.000 Cl
0.763 0.763 0.526 Cl
```

The following is a theoretical powder X-ray diffraction pattern of DyAlB14. It was derived from a structure optimized by DFT (PBE), using a wavelength of 1.5418 Å.
Lines closer than 0.1° are merged.

Most intense lines, 15° ≤ 2θ ≤ 90°, sorted by position:
| 2θ/deg | d [Å] | I/Imax |
| --- | --- | --- |
| 16.9 | 5.244 | 69.6 |
| 25.1 | 3.543 | 53.7 |
| 27.7 | 3.220 | 100.0 |
| 33.3 | 2.690 | 53.6 |
| 37.0 | 2.431 | 50.1 |
| 40.0 | 2.252 | 50.8 |

Atomic structure:
```
DyAlB14
1.0
-2.956 5.244 4.125
2.956 -5.244 4.125
2.956 5.244 -4.125
Dy Al B
2 2 28
Direct
0.400 0.150 0.250 Dy
0.600 0.850 0.750 Dy
0.000 0.000 0.500 Al
0.000 0.500 0.000 Al
0.016 0.873 0.142 B
0.031 0.204 0.332 B
0.031 0.700 0.827 B
0.077 0.667 0.410 B
0.201 0.534 0.667 B
0.223 0.500 0.398 B
0.223 0.825 0.723 B
0.231 0.873 0.358 B
0.244 0.333 0.910 B
0.366 0.534 0.833 B
0.372 0.204 0.673 B
0.372 0.700 0.168 B
0.399 0.175 0.898 B
0.399 0.500 0.223 B
0.601 0.500 0.777 B
0.601 0.825 0.102 B
0.628 0.300 0.832 B
0.628 0.796 0.327 B
0.634 0.466 0.167 B
0.756 0.667 0.090 B
0.769 0.127 0.642 B
0.777 0.175 0.277 B
0.777 0.500 0.602 B
0.799 0.466 0.333 B
0.923 0.333 0.590 B
0.969 0.300 0.173 B
0.969 0.796 0.668 B
0.984 0.127 0.858 B
```

The following is a theoretical powder X-ray diffraction pattern of PtCl12F6. It was derived from a structure optimized by DFT (PBE), using a wavelength of 1.5418 Å.
Lines closer than 0.1° are merged.

Most intense lines, 15° ≤ 2θ ≤ 90°, sorted by position:
| 2θ/deg | d [Å] | I/Imax |
| --- | --- | --- |
| 17.4 | 5.103 | 96.2 |
| 18.6 | 4.779 | 100.0 |
| 21.8 | 4.071 | 44.9 |
| 26.4 | 3.377 | 47.4 |
| 28.8 | 3.099 | 67.0 |
| 34.5 | 2.600 | 41.0 |

Atomic structure:
```
PtCl12F6
1.0
8.524 0.000 0.000
-2.120 8.274 0.000
-2.124 -2.762 7.809
Pt Cl F
1 12 6
Direct
0.000 0.000 0.000 Pt
0.097 0.821 0.812 Cl
0.126 0.236 0.928 Cl
0.228 0.568 0.402 Cl
0.237 0.928 0.126 Cl
0.259 0.533 0.645 Cl
0.401 0.226 0.569 Cl
0.533 0.645 0.257 Cl
0.570 0.402 0.226 Cl
0.645 0.258 0.534 Cl
0.812 0.097 0.822 Cl
0.822 0.813 0.097 Cl
0.928 0.126 0.236 Cl
0.267 0.509 0.861 F
0.509 0.861 0.266 F
0.602 0.975 0.775 F
0.775 0.603 0.975 F
0.861 0.266 0.510 F
0.975 0.774 0.604 F
```

The following is a theoretical powder X-ray diffraction pattern of LiInC. It was derived from a structure optimized by DFT (PBE), using a wavelength of 1.5418 Å.
Lines closer than 0.1° are merged.

Most intense lines, 15° ≤ 2θ ≤ 90°, sorted by position:
| 2θ/deg | d [Å] | I/Imax |
| --- | --- | --- |
| 16.9 | 5.256 | 100.0 |
| 27.9 | 3.201 | 38.3 |
| 29.0 | 3.081 | 40.8 |
| 30.6 | 2.926 | 38.2 |
| 34.9 | 2.571 | 44.3 |
| 41.2 | 2.189 | 33.9 |

Atomic structure:
```
LiInC
1.0
6.166 -1.676 0.000
6.166 1.676 0.000
-2.887 0.000 5.256
Li In C
2 2 2
Direct
0.103 0.103 0.451 Li
0.897 0.897 0.549 Li
0.353 0.353 0.954 In
0.647 0.647 0.046 In
0.465 0.465 0.381 C
0.535 0.535 0.619 C
```

The following is a theoretical powder X-ray diffraction pattern of Rb2Mo9Se10. It was derived from a structure optimized by DFT (PBE), using a wavelength of 1.5418 Å.
Lines closer than 0.1° are merged.

Most intense lines, 15° ≤ 2θ ≤ 90°, sorted by position:
| 2θ/deg | d [Å] | I/Imax |
| --- | --- | --- |
| 27.8 | 3.211 | 32.2 |
| 28.2 | 3.167 | 29.3 |
| 33.8 | 2.652 | 28.1 |
| 42.2 | 2.141 | 28.4 |
| 42.8 | 2.111 | 100.0 |
| 51.0 | 1.790 | 28.9 |

Atomic structure:
```
Rb2Mo9Se10
1.0
4.853 2.802 12.845
-4.853 2.802 12.845
0.000 -5.604 12.845
Rb Mo Se
4 18 20
Direct
0.075 0.075 0.075 Rb
0.206 0.206 0.206 Rb
0.794 0.794 0.794 Rb
0.925 0.925 0.925 Rb
0.185 0.499 0.374 Mo
0.261 0.396 0.579 Mo
0.304 0.619 0.488 Mo
0.374 0.185 0.499 Mo
0.381 0.512 0.696 Mo
0.396 0.579 0.261 Mo
0.421 0.739 0.604 Mo
0.488 0.304 0.619 Mo
0.499 0.374 0.185 Mo
0.501 0.626 0.815 Mo
0.512 0.696 0.381 Mo
0.579 0.261 0.396 Mo
0.604 0.421 0.739 Mo
0.619 0.488 0.304 Mo
0.626 0.815 0.501 Mo
0.696 0.381 0.512 Mo
0.739 0.604 0.421 Mo
0.815 0.501 0.626 Mo
0.066 0.317 0.687 Se
0.085 0.704 0.444 Se
0.177 0.433 0.803 Se
0.197 0.823 0.567 Se
0.296 0.556 0.915 Se
0.300 0.300 0.300 Se
0.313 0.934 0.683 Se
0.317 0.687 0.066 Se
0.433 0.803 0.177 Se
0.444 0.085 0.704 Se
0.556 0.915 0.296 Se
0.567 0.197 0.823 Se
0.683 0.313 0.934 Se
0.687 0.066 0.317 Se
0.700 0.700 0.700 Se
0.704 0.444 0.085 Se
0.803 0.177 0.433 Se
0.823 0.567 0.197 Se
0.915 0.296 0.556 Se
0.934 0.683 0.313 Se
```

The following is a theoretical powder X-ray diffraction pattern of Ho2Cd3In2. It was derived from a structure optimized by DFT (PBE), using a wavelength of 1.5418 Å.
Lines closer than 0.1° are merged.

Most intense lines, 15° ≤ 2θ ≤ 90°, sorted by position:
| 2θ/deg | d [Å] | I/Imax |
| --- | --- | --- |
| 32.7 | 2.736 | 97.1 |
| 34.5 | 2.600 | 100.0 |
| 36.0 | 2.495 | 41.9 |
| 38.6 | 2.335 | 47.1 |
| 53.8 | 1.705 | 25.9 |
| 65.4 | 1.428 | 30.0 |

Atomic structure:
```
Ho2Cd3In2
1.0
2.335 -10.957 0.000
2.335 10.957 0.000
0.000 0.000 3.417
Ho Cd In
2 3 2
Direct
0.151 0.849 0.000 Ho
0.849 0.151 0.000 Ho
0.000 0.000 0.000 Cd
0.431 0.569 0.500 Cd
0.569 0.431 0.500 Cd
0.289 0.711 0.500 In
0.711 0.289 0.500 In
```

The following is a theoretical powder X-ray diffraction pattern of Er4TeH. It was derived from a structure optimized by DFT (PBE), using a wavelength of 1.5418 Å.
Lines closer than 0.1° are merged.

Most intense lines, 15° ≤ 2θ ≤ 90°, sorted by position:
| 2θ/deg | d [Å] | I/Imax |
| --- | --- | --- |
| 29.9 | 2.984 | 21.8 |
| 30.6 | 2.921 | 100.0 |
| 37.4 | 2.403 | 18.7 |
| 38.9 | 2.312 | 21.5 |
| 53.6 | 1.710 | 20.2 |
| 64.7 | 1.441 | 19.1 |

Atomic structure:
```
Er4TeH
1.0
7.534 0.000 0.000
0.000 7.318 0.000
0.000 0.000 5.967
Er Te H
8 2 2
Direct
0.000 0.136 0.000 Er
0.000 0.853 0.526 Er
0.244 0.752 0.028 Er
0.256 0.248 0.528 Er
0.500 0.147 0.026 Er
0.500 0.864 0.500 Er
0.744 0.248 0.528 Er
0.756 0.752 0.028 Er
0.000 0.489 0.269 Te
0.500 0.511 0.769 Te
0.000 0.141 0.627 H
0.500 0.859 0.127 H
```